Theoretical powder X-ray diffraction pattern
Compound: Na4TaZnSi2PO12
Radiation: Cu Kα, 1.54184 Å
Structure: a GGA-PBE-relaxed structure
Neutral-atom scattering factors, no anomalous dispersion.

Lattice parameters (Å, degrees): 15.612 9.222 9.084 90.00 124.95 90.00
Space group Cc (No. 9)
Inequivalent atoms, fractional coordinates:
Na (0.000, 0.043, 0.000) [4 per cell]
Na (0.171, 0.382, 0.832) [4 per cell]
Na (0.362, 0.086, 0.731) [4 per cell]
Na (0.431, 0.256, 0.099) [4 per cell]
Ta (0.277, 0.251, 0.261) [4 per cell]
Zn (0.077, 0.239, 0.462) [4 per cell]
Si (0.171, 0.047, 0.866) [4 per cell]
Si (0.316, 0.399, 0.658) [4 per cell]
P (0.022, 0.390, 0.071) [4 per cell]
O (0.011, 0.449, 0.526) [4 per cell]
O (0.017, 0.365, 0.229) [4 per cell]
O (0.094, 0.046, 0.392) [4 per cell]
O (0.099, 0.160, 0.705) [4 per cell]
O (0.127, 0.320, 0.108) [4 per cell]
O (0.211, 0.338, 0.629) [4 per cell]
O (0.244, 0.070, 0.334) [4 per cell]
O (0.261, 0.139, 0.053) [4 per cell]
O (0.312, 0.363, 0.470) [4 per cell]
O (0.318, 0.418, 0.168) [4 per cell]
O (0.415, 0.329, 0.838) [4 per cell]
O (0.434, 0.197, 0.398) [4 per cell]

Peak list (10 most intense, 2θ from 15° to 90°, in order of falling intensity)
19.6 deg, I = 1000, (2 0 -2)
31.1 deg, I = 877, (3 1 -3)
19.4 deg, I = 589, (1 1 1)
33.8 deg, I = 537, (1 3 1)
31.3 deg, I = 419, (5 1 -1)
34.1 deg, I = 388, (2 0 2)
19.2 deg, I = 323, (0 2 0)
27.6 deg, I = 299, (2 2 -2)
46.9 deg, I = 249, (6 2 0)
59.0 deg, I = 205, (6 4 0)